(1)
The following is a calculated X-ray diffraction stick pattern of K2GdNb5O15. It was derived from the GGA-PBE geometry in Alexandria, using a wavelength of 1.5418 Å.
Kinematic intensities with the Lorentz-polarization factor, no thermal factor.

Largest 10 diffraction maxima, low angle first, 10 to 90 degrees two-theta:
- d 6.382, rel. 42
- d 3.540, rel. 41
- d 3.255, rel. 34
- d 3.096, rel. 50
- d 2.977, rel. 36
- d 2.854, rel. 48
- d 2.827, rel. 100
- d 2.018, rel. 30
- d 1.981, rel. 32
- d 1.643, rel. 48

Atomic structure:
```
data_K2GdNb5O15
_chemical_formula_sum 'K4 Gd2 Nb10 O30'
_symmetry_space_group_name_H-M 'P 4/m b m'
_symmetry_Int_Tables_number 127
_symmetry_space_group_name_Hall '-P 4 2ab'
_cell_length_a 12.764
_cell_length_b 12.764
_cell_length_c 3.962
_cell_angle_alpha 90.00
_cell_angle_beta 90.00
_cell_angle_gamma 90.00
loop_
_atom_site_label
_atom_site_type_symbol
_atom_site_fract_x
_atom_site_fract_y
_atom_site_fract_z
K1 K 0.171 0.329 0.000
Gd1 Gd 0.000 0.000 0.000
Nb1 Nb 0.000 0.500 0.500
Nb2 Nb 0.076 0.788 0.500
O1 O 0.000 0.500 0.000
O2 O 0.001 0.342 0.500
O3 O 0.059 0.132 0.500
O4 O 0.078 0.813 0.000
O5 O 0.216 0.716 0.500
```


(2)
The following is a calculated X-ray diffraction stick pattern of K3GdP2O8. It was derived from the GGA-PBE geometry in Alexandria, using a wavelength of 1.5418 Å.
Kinematic intensities with the Lorentz-polarization factor, no thermal factor.

Largest 10 diffraction maxima, low angle first, 10 to 90 degrees two-theta:
- d 7.539, rel. 100
- d 4.908, rel. 39
- d 4.094, rel. 51
- d 4.067, rel. 20
- d 3.004, rel. 37
- d 2.986, rel. 35
- d 2.975, rel. 70
- d 2.862, rel. 57
- d 2.779, rel. 66
- d 1.765, rel. 20

Atomic structure:
```
data_K3GdP2O8
_chemical_formula_sum 'K6 Gd2 P4 O16'
_symmetry_space_group_name_H-M 'P 1 21/m 1'
_symmetry_Int_Tables_number 11
_cell_length_a 7.540
_cell_length_b 5.724
_cell_length_c 9.539
_cell_angle_alpha 90.00
_cell_angle_beta 91.14
_cell_angle_gamma 90.00
loop_
_symmetry_equiv_pos_as_xyz
'x,y,z'
'-x,-y,-z'
'-x,y+1/2,-z'
'x,-y+1/2,z'
loop_
_atom_site_label
_atom_site_type_symbol
_atom_site_fract_x
_atom_site_fract_y
_atom_site_fract_z
K1 K 0.004 0.250 0.192
K2 K 0.141 0.750 0.412
K3 K 0.296 0.250 0.917
Gd1 Gd 0.494 0.750 0.711
P1 P 0.271 0.750 0.089
P2 P 0.313 0.250 0.572
O1 O 0.067 0.750 0.103
O2 O 0.215 0.250 0.426
O3 O 0.263 0.028 0.658
O4 O 0.326 0.750 0.932
O5 O 0.349 0.528 0.163
O6 O 0.486 0.750 0.460
```